# KHo2Cu3Se5
Theoretical powder diffraction line list, copper Kα. Input: DFT lattice parameters and positions (GGA-PBE).
No peak broadening, texture or thermal motion is included.

Largest 10 diffraction maxima, by angle, 5 to 70 degrees two-theta:
| 2θ/deg | I_rel | (hkl) |
| --- | --- | --- |
| 10.44 | 84 | 0 0 2 |
| 12.25 | 88 | 0 2 0 |
| 13.32 | 65 | 0 2 1 |
| 28.53 | 100 | 1 3 0 |
| 29.04 | 100 | 1 3 1 |
| 30.46 | 82 | 1 3 2 |
| 31.69 | 77 | 0 0 6 |
| 35.68 | 96 | 1 3 4 |
| 38.05 | 68 | 1 5 0 |
| 44.01 | 78 | 2 0 0 |

```
data_KHo2Cu3Se5
_chemical_formula_sum 'K4 Ho8 Cu12 Se20'
_cell_length_a 4.1154
_cell_length_b 14.4489
_cell_length_c 16.9435
_cell_angle_alpha 90.00
_cell_angle_beta 90.00
_cell_angle_gamma 90.00
_symmetry_space_group_name_H-M 'C m c m'
_symmetry_Int_Tables_number 63
_symmetry_space_group_name_Hall '-C 2c 2'
loop_
_atom_site_label
_atom_site_type_symbol
_atom_site_fract_x
_atom_site_fract_y
_atom_site_fract_z
K1 K 0.0000 0.0612 0.2500
Ho1 Ho 0.0000 0.1918 0.5927
Cu1 Cu 0.0000 0.3389 0.2500
Cu2 Cu 0.0000 0.4148 0.5280
Se1 Se 0.0000 0.1651 0.0724
Se2 Se 0.0000 0.2503 0.7500
Se3 Se 0.0000 0.4410 0.1191
```